# 1
Structure and theoretical XRD peak list of CdAg2Te (the PBE geometry in Alexandria; a wavelength of 1.5418 Å).

```
4
Lattice="3.1772 0.0000 0.0000 0.0000 4.2432 0.0000 -0.0165 0.0000 6.8036" Properties=species:S:1:pos:R:3 pbc="T T T"
Cd 0.0000 0.0000 0.0000
Ag 1.5835 2.1216 1.3933
Ag 1.5772 2.1216 5.4103
Te 1.5804 0.0000 3.4018
```

Largest 10 diffraction maxima, sorted by position, 2θ from 10° to 90°:
| 2theta | I/Imax |
| --- | --- |
| 28.09 | 24 |
| 31.07 | 21 |
| 33.77 | 100 |
| 35.29 | 23 |
| 37.76 | 73 |
| 42.61 | 30 |
| 44.48 | 20 |
| 49.31 | 15 |
| 49.43 | 15 |
| 67.23 | 23 |

# 2
Structure and theoretical XRD peak list of Ti4IO7 (the PBE geometry in Alexandria; a wavelength of 1.5418 Å).

```
24
Lattice="14.7042 0.0000 0.0000 0.0000 5.4451 0.0000 0.0000 0.0000 5.4750" Properties=species:S:1:pos:R:3 pbc="T T T"
Ti 1.6528 0.9739 0.0000
Ti 3.4237 3.2803 0.0792
Ti 3.9284 2.1649 2.8167
Ti 5.6993 4.4713 2.7375
Ti 9.0049 4.4713 2.7375
Ti 10.7758 2.1649 2.8167
Ti 11.2806 3.2803 0.0792
Ti 13.0514 0.9739 0.0000
I 0.0000 5.0383 3.4490
I 7.3521 0.4068 0.7115
O 0.0000 1.5542 0.5078
O 2.4096 4.7242 0.2623
O 2.5557 2.0265 4.2021
O 2.7036 1.8745 1.3485
O 4.6486 3.5707 4.0860
O 4.7964 3.4187 1.4646
O 4.9426 0.7209 2.9997
O 7.3521 3.8909 3.2453
O 9.7617 0.7209 2.9997
O 9.9078 3.4187 1.4646
O 10.0557 3.5707 4.0860
O 12.0007 1.8745 1.3485
O 12.1485 2.0265 4.2021
O 12.2947 4.7242 0.2623
```

Largest 10 diffraction maxima, sorted by position, 2θ from 10° to 90°:
| 2theta | I/Imax |
| --- | --- |
| 17.29 | 28 |
| 20.29 | 100 |
| 23.83 | 25 |
| 24.38 | 80 |
| 26.07 | 52 |
| 29.45 | 33 |
| 32.71 | 18 |
| 34.65 | 16 |
| 36.87 | 21 |
| 38.48 | 26 |

# 3
Structure and theoretical XRD peak list of Sm7Sb2Ru2 (the PBE geometry in Alexandria; a wavelength of 1.5418 Å).

```
11
Lattice="-2.0610 8.0003 4.7312 2.0610 -8.0003 4.7312 2.0610 8.0003 -4.7312" Properties=species:S:1:pos:R:3 pbc="T T T"
Sm 0.0000 0.0000 0.0000
Sm 2.0610 2.9432 -1.0806
Sm 2.0610 -2.3820 2.3880
Sm 2.0610 2.3820 2.3880
Sm 2.0610 5.9689 0.8654
Sm 0.0000 5.0572 3.6506
Sm 0.0000 2.0314 5.5966
Sb 0.0000 0.0000 3.1276
Sb 0.0000 8.0003 2.3558
Ru 0.0000 3.8721 0.6307
Ru 0.0000 12.1285 0.6307
```

Largest 10 diffraction maxima, sorted by position, 2θ from 10° to 90°:
| 2theta | I/Imax |
| --- | --- |
| 27.34 | 22 |
| 29.27 | 51 |
| 29.46 | 21 |
| 32.60 | 100 |
| 32.99 | 50 |
| 33.37 | 48 |
| 37.63 | 29 |
| 43.93 | 31 |
| 49.49 | 20 |
| 56.02 | 22 |